# 1
Starting from DFT lattice parameters and positions (PBE), the powder diffraction line list of Ti2Nb3Pd8 was simulated for CuKα.
Peak positions follow from Bragg's law for the DFT cell and can differ from measured ones.

Largest 10 diffraction maxima, in order of falling intensity, 2θ = 5–70°:
- 40.8 deg, rel. 100.0
- 39.8 deg, rel. 79.4
- 42.3 deg, rel. 62.5
- 65.7 deg, rel. 34.2
- 39.6 deg, rel. 30.1
- 43.4 deg, rel. 29.3
- 34.7 deg, rel. 29.2
- 45.0 deg, rel. 28.2
- 18.4 deg, rel. 28.0
- 29.4 deg, rel. 27.1

Crystal structure
Unit cell a=10.0922 b=10.0922 c=10.0922 alpha=29.65 beta=29.65 gamma=29.65
Fractional positions:
Ti 0.1373 0.1373 0.1373
Ti 0.8627 0.8627 0.8627
Nb 0.3110 0.3110 0.3110
Nb 0.5000 0.5000 0.5000
Nb 0.6890 0.6890 0.6890
Pd 0.2199 0.2199 0.2199
Pd 0.2306 0.2306 0.7274
Pd 0.2306 0.7274 0.2306
Pd 0.2726 0.7694 0.7694
Pd 0.7274 0.2306 0.2306
Pd 0.7694 0.2726 0.7694
Pd 0.7694 0.7694 0.2726
Pd 0.7801 0.7801 0.7801

=====

# 2
Starting from DFT lattice parameters and positions (PBE), the powder diffraction line list of AlSi2Ru was simulated for CuKα.
Peak positions follow from Bragg's law for the DFT cell and can differ from measured ones.

Largest 10 diffraction maxima, in order of falling intensity, 2θ = 5–70°:
- 39.1 deg, rel. 100.0
- 21.5 deg, rel. 78.7
- 43.7 deg, rel. 71.9
- 46.9 deg, rel. 58.1
- 37.0 deg, rel. 38.8
- 24.7 deg, rel. 25.0
- 50.7 deg, rel. 23.0
- 29.7 deg, rel. 15.8
- 52.0 deg, rel. 14.4
- 41.6 deg, rel. 13.9

Crystal structure
Unit cell a=4.4013 b=4.4013 c=3.0035 alpha=90.00 beta=90.00 gamma=109.76
Fractional positions:
Al 0.0000 0.0000 0.0000
Si 0.0000 0.5000 0.5000
Si 0.5000 0.0000 0.5000
Ru 0.5000 0.5000 0.0000

=====

# 3
Starting from DFT lattice parameters and positions (PBE), the powder diffraction line list of CrW2Se2S4 was simulated for CuKα.
Peak positions follow from Bragg's law for the DFT cell and can differ from measured ones.

Largest 10 diffraction maxima, in order of falling intensity, 2θ = 5–70°:
- 12.3 deg, rel. 100.0
- 38.6 deg, rel. 32.0
- 47.0 deg, rel. 24.7
- 32.4 deg, rel. 18.3
- 36.5 deg, rel. 15.3
- 34.7 deg, rel. 12.6
- 57.7 deg, rel. 12.6
- 33.4 deg, rel. 11.7
- 44.0 deg, rel. 10.8
- 32.6 deg, rel. 10.8

Crystal structure
Unit cell a=3.1952 b=3.1952 c=21.5865 alpha=90.00 beta=90.00 gamma=120.00
Fractional positions:
Cr 0.0000 0.0000 0.0000
W 0.0000 0.0000 0.6503
W 0.6667 0.3333 0.3263
Se 0.6667 0.3333 0.0731
Se 0.6667 0.3333 0.9269
S 0.0000 0.0000 0.2535
S 0.0000 0.0000 0.3990
S 0.6667 0.3333 0.5775
S 0.6667 0.3333 0.7230